[1]
Computed powder XRD pattern of RbMg3 for Cu Ka, from DFT lattice parameters and positions (GGA-PBE).

Cell and atoms:
```
data_RbMg3
_chemical_formula_sum 'Rb1 Mg3'
_cell_length_a 3.3325
_cell_length_b 5.2198
_cell_length_c 7.9710
_cell_angle_alpha 90.00
_cell_angle_beta 90.00
_cell_angle_gamma 90.00
_symmetry_space_group_name_H-M 'P 1'
_symmetry_Int_Tables_number 1
_symmetry_space_group_name_Hall 'P 1'
loop_
_atom_site_label
_atom_site_type_symbol
_atom_site_fract_x
_atom_site_fract_y
_atom_site_fract_z
_atom_site_occupancy
Rb1 Rb 0.0000 0.0000 0.0000 1
Mg1 Mg 0.0000 0.5000 0.6403 1
Mg2 Mg 0.5000 0.0000 0.5197 1
Mg3 Mg 0.5000 0.5000 0.3065 1
```

Main lines, in order of falling intensity (5 to 70 degrees two-theta):
| 2θ/deg | I/Imax |
| --- | --- |
| 33.8 | 1000 |
| 28.2 | 918 |
| 20.3 | 830 |
| 29.0 | 578 |
| 34.4 | 389 |
| 45.6 | 379 |
| 22.3 | 346 |
| 48.9 | 305 |
| 17.0 | 299 |
| 47.1 | 285 |



[2]
Computed powder XRD pattern of Th3Br for Cu Ka, from DFT lattice parameters and positions (GGA-PBE).

Cell and atoms:
```
data_Th3Br
_chemical_formula_sum 'Th3 Br1'
_cell_length_a 6.0890
_cell_length_b 6.0890
_cell_length_c 6.0890
_cell_angle_alpha 132.42
_cell_angle_beta 132.42
_cell_angle_gamma 69.57
_symmetry_space_group_name_H-M 'P 1'
_symmetry_Int_Tables_number 1
_symmetry_space_group_name_Hall 'P 1'
loop_
_atom_site_label
_atom_site_type_symbol
_atom_site_fract_x
_atom_site_fract_y
_atom_site_fract_z
_atom_site_occupancy
Th1 Th 0.0000 0.0000 0.0000 1
Th2 Th 0.2500 0.7500 0.5000 1
Th3 Th 0.7500 0.2500 0.5000 1
Br1 Br 0.5000 0.5000 0.0000 1
```

Main lines, in order of falling intensity (5 to 70 degrees two-theta):
| 2θ/deg | I/Imax |
| --- | --- |
| 31.4 | 1000 |
| 36.6 | 333 |
| 62.6 | 287 |
| 52.2 | 246 |
| 35.9 | 175 |
| 61.7 | 150 |
| 65.4 | 126 |
| 52.7 | 119 |
| 20.1 | 99 |
| 17.7 | 33 |



[3]
Computed powder XRD pattern of Na2Cu4H5S4O20 for Cu Ka, from DFT lattice parameters and positions (GGA-PBE).

Cell and atoms:
```
data_Na2Cu4H5S4O20
_chemical_formula_sum 'Na2 Cu4 H5 S4 O20'
_cell_length_a 6.3886
_cell_length_b 7.7451
_cell_length_c 8.2296
_cell_angle_alpha 68.79
_cell_angle_beta 89.20
_cell_angle_gamma 87.75
_symmetry_space_group_name_H-M 'P 1'
_symmetry_Int_Tables_number 1
_symmetry_space_group_name_Hall 'P 1'
loop_
_atom_site_label
_atom_site_type_symbol
_atom_site_fract_x
_atom_site_fract_y
_atom_site_fract_z
_atom_site_occupancy
Na1 Na 0.0000 0.0000 0.0000 1
Na2 Na 0.5000 0.5000 0.5000 1
Cu1 Cu 0.2475 0.7481 0.7489 1
Cu2 Cu 0.2489 0.2469 0.2546 1
Cu3 Cu 0.7511 0.7531 0.7454 1
Cu4 Cu 0.7525 0.2519 0.2511 1
H1 H 0.0028 0.5068 0.7984 1
H2 H 0.4924 0.9994 0.7162 1
H3 H 0.5000 0.0000 0.5000 1
H4 H 0.5076 0.0006 0.2838 1
H5 H 0.9972 0.4932 0.2016 1
S1 S 0.0053 0.7857 0.4050 1
S2 S 0.4960 0.7132 0.0914 1
S3 S 0.5040 0.2868 0.9086 1
S4 S 0.9947 0.2143 0.5950 1
O1 O 0.0010 0.3840 0.1653 1
O2 O 0.0022 0.9892 0.3072 1
O3 O 0.0050 0.6864 0.2850 1
O4 O 0.1915 0.2635 0.4822 1
O5 O 0.1985 0.7271 0.5188 1
O6 O 0.3028 0.7724 0.9783 1
O7 O 0.3099 0.2356 0.0221 1
O8 O 0.4957 0.8126 0.2126 1
O9 O 0.4961 0.9080 0.6559 1
O10 O 0.4993 0.5098 0.1919 1
O11 O 0.5007 0.4902 0.8081 1
O12 O 0.5039 0.0920 0.3441 1
O13 O 0.5043 0.1874 0.7874 1
O14 O 0.6901 0.7644 0.9779 1
O15 O 0.6972 0.2276 0.0217 1
O16 O 0.8015 0.2729 0.4812 1
O17 O 0.8085 0.7365 0.5178 1
O18 O 0.9950 0.3136 0.7150 1
O19 O 0.9978 0.0108 0.6928 1
O20 O 0.9990 0.6160 0.8347 1
```

Main lines, in order of falling intensity (5 to 70 degrees two-theta):
| 2θ/deg | I/Imax |
| --- | --- |
| 24.7 | 1000 |
| 13.5 | 819 |
| 32.6 | 540 |
| 34.8 | 477 |
| 34.0 | 401 |
| 30.7 | 355 |
| 31.6 | 347 |
| 18.1 | 310 |
| 26.6 | 284 |
| 55.9 | 283 |



Q: Number 2 is which compound?
A: Th3Br